# Sr6Au2BrN
Simulated XRD peak list, a wavelength of 1.5418 Å. Input: a DFT-relaxed cell (PBE, Alexandria).

Cell and atoms:
Cell lengths 7.394, 8.194, 12.892 Å; angles 90.00, 123.42, 90.00 degrees
Space group P2_1/c (No. 14)
One atom of each set of equivalent atoms:
Sr: 0.095 0.040 0.225 (multiplicity 4)
Sr: 0.215 0.716 0.064 (multiplicity 4)
Sr: 0.351 0.161 0.058 (multiplicity 4)
Au: 0.292 0.101 0.751 (multiplicity 4)
Br: 0.500 0.000 0.500 (multiplicity 2)
N: 0.000 0.000 0.000 (multiplicity 2)

The 12 most intense peaks (2θ = 10–90°), low angle first:
2θ (°)  d/Å  intensity  (hkl)
18.0  4.930  43  1 1 0
22.9  3.882  42  1 1 1
27.4  3.261  80  1 0 2
27.9  3.193  100  2 1 -3
29.7  3.004  60  2 0 -4
30.0  2.975  54  1 1 -4
33.2  2.699  65  0 2 3
33.3  2.690  51  0 0 4
33.5  2.672  41  2 2 -1
36.0  2.498  67  1 3 0
36.1  2.487  48  1 3 -2
41.4  2.182  49  3 1 -1



# NaSrAuBr2
Simulated XRD peak list, a wavelength of 1.5418 Å. Input: a DFT-relaxed cell (PBE, Alexandria).

Cell and atoms:
Cell lengths 6.497, 6.497, 5.378 Å; angles 90.00, 90.00, 90.00 degrees
Space group P4/mmm (No. 123)
One atom of each set of equivalent atoms:
Na: 0.000 0.000 0.000 (multiplicity 1)
Sr: 0.500 0.500 0.000 (multiplicity 1)
Au: 0.500 0.500 0.500 (multiplicity 1)
Br: 0.000 0.500 0.500 (multiplicity 2)

The 12 most intense peaks (2θ = 10–90°), low angle first:
2θ (°)  d/Å  intensity  (hkl)
13.6  6.497  100  1 0 0
16.5  5.378  30  0 0 1
21.4  4.143  19  1 0 1
27.5  3.248  67  2 0 0
30.8  2.906  30  2 1 0
32.2  2.781  24  2 0 1
33.3  2.689  20  0 0 2
36.2  2.485  20  1 0 2
39.2  2.297  26  2 2 0
43.7  2.071  38  2 0 2
46.0  1.974  20  2 1 2
52.4  1.747  22  2 2 2



# Nd3AuBr3
Simulated XRD peak list, a wavelength of 1.5418 Å. Input: a DFT-relaxed cell (PBE, Alexandria).

Cell and atoms:
Cell lengths 12.212, 12.212, 12.212 Å; angles 90.00, 90.00, 90.00 degrees
Space group I4_132 (No. 214)
One atom of each set of equivalent atoms:
Nd: 0.115 0.365 0.125 (multiplicity 24)
Au: 0.125 0.125 0.125 (multiplicity 8)
Br: 0.121 0.129 0.625 (multiplicity 24)

The 12 most intense peaks (2θ = 10–90°), low angle first:
2θ (°)  d/Å  intensity  (hkl)
10.2  8.635  58  1 1 0
23.0  3.862  13  3 1 0
29.3  3.053  100  4 0 0
31.1  2.878  10  4 1 1
37.6  2.395  15  5 1 0
41.8  2.159  74  4 4 0
48.3  1.884  7  5 4 1
51.9  1.763  26  4 4 4
53.0  1.727  7  5 5 0
60.7  1.527  12  8 0 0
68.8  1.365  32  8 4 0
76.4  1.246  23  8 4 4



# Nd6Rh2AuBr3
Simulated XRD peak list, a wavelength of 1.5418 Å. Input: a DFT-relaxed cell (PBE, Alexandria).

Cell and atoms:
Cell lengths 7.275, 12.609, 8.150 Å; angles 90.00, 107.24, 90.00 degrees
Space group C2/m (No. 12)
One atom of each set of equivalent atoms:
Nd: 0.216 0.000 0.199 (multiplicity 4)
Nd: 0.241 0.325 0.199 (multiplicity 8)
Rh: 0.000 0.167 0.000 (multiplicity 4)
Au: 0.000 0.500 0.000 (multiplicity 2)
Br: 0.000 0.000 0.500 (multiplicity 2)
Br: 0.000 0.332 0.500 (multiplicity 4)

The 12 most intense peaks (2θ = 10–90°), low angle first:
2θ (°)  d/Å  intensity  (hkl)
11.4  7.783  26  0 0 1
28.9  3.088  100  2 0 -2
36.5  2.459  14  1 3 2
39.6  2.277  32  1 3 -3
43.1  2.101  37  0 6 0
49.7  1.834  10  2 0 3
52.7  1.737  18  2 6 -2
59.9  1.544  9  4 0 -4
65.4  1.428  8  3 3 -5
70.3  1.339  14  5 3 -3
76.1  1.251  6  0 6 5
76.6  1.244  8  4 6 -4



Repeat the first record exactly.
# Sr6Au2BrN
Simulated XRD peak list, a wavelength of 1.5418 Å. Input: a DFT-relaxed cell (PBE, Alexandria).

Cell and atoms:
Cell lengths 7.394, 8.194, 12.892 Å; angles 90.00, 123.42, 90.00 degrees
Space group P2_1/c (No. 14)
One atom of each set of equivalent atoms:
Sr: 0.095 0.040 0.225 (multiplicity 4)
Sr: 0.215 0.716 0.064 (multiplicity 4)
Sr: 0.351 0.161 0.058 (multiplicity 4)
Au: 0.292 0.101 0.751 (multiplicity 4)
Br: 0.500 0.000 0.500 (multiplicity 2)
N: 0.000 0.000 0.000 (multiplicity 2)

The 12 most intense peaks (2θ = 10–90°), low angle first:
2θ (°)  d/Å  intensity  (hkl)
18.0  4.930  43  1 1 0
22.9  3.882  42  1 1 1
27.4  3.261  80  1 0 2
27.9  3.193  100  2 1 -3
29.7  3.004  60  2 0 -4
30.0  2.975  54  1 1 -4
33.2  2.699  65  0 2 3
33.3  2.690  51  0 0 4
33.5  2.672  41  2 2 -1
36.0  2.498  67  1 3 0
36.1  2.487  48  1 3 -2
41.4  2.182  49  3 1 -1